1.
Structure and theoretical X-ray powder pattern of Sc3Ga4Rh2 (the PBE geometry in Alexandria; Cu Ka).
Kinematic intensities with the Lorentz-polarization factor, no thermal factor.

Principal peaks in the range 2θ from 10° to 90°, sorted by position:
2θ 23.30, I = 22; 2θ 29.04, I = 37; 2θ 36.94, I = 21; 2θ 37.21, I = 48; 2θ 37.86, I = 39; 2θ 38.24, I = 23; 2θ 40.82, I = 51; 2θ 40.99, I = 100; 2θ 51.77, I = 17; 2θ 74.44, I = 16

Crystal structure
Unit cell a=5.4473 b=5.4473 c=8.1223 alpha=116.85 beta=116.85 gamma=47.88
Atoms (fractional coordinates):
Sc 0.0000 0.0000 0.0000
Sc 0.3332 0.3332 0.3372
Sc 0.6668 0.6668 0.6628
Ga 0.0738 0.0738 0.4034
Ga 0.3077 0.3077 0.9702
Ga 0.6923 0.6923 0.0298
Ga 0.9262 0.9262 0.5966
Rh 0.3926 0.3926 0.7240
Rh 0.6074 0.6074 0.2760

2.
Structure and theoretical X-ray powder pattern of Sc3Ga3Rh2 (the PBE geometry in Alexandria; Cu Ka).
Kinematic intensities with the Lorentz-polarization factor, no thermal factor.

Principal peaks in the range 2θ from 10° to 90°, sorted by position:
2θ 20.98, I = 43; 2θ 23.86, I = 33; 2θ 34.43, I = 49; 2θ 35.64, I = 28; 2θ 36.55, I = 33; 2θ 38.47, I = 100; 2θ 40.13, I = 54; 2θ 42.42, I = 42; 2θ 43.06, I = 78; 2θ 45.87, I = 31

Crystal structure
Unit cell a=6.9740 b=15.6642 c=5.3292 alpha=90.00 beta=90.00 gamma=90.00
Atoms (fractional coordinates):
Sc 0.0373 0.1121 0.1198
Sc 0.0373 0.3879 0.1198
Sc 0.1671 0.2500 0.6473
Sc 0.3329 0.7500 0.1473
Sc 0.4627 0.6121 0.6198
Sc 0.4627 0.8879 0.6198
Sc 0.5373 0.1121 0.3802
Sc 0.5373 0.3879 0.3802
Sc 0.6671 0.2500 0.8527
Sc 0.8329 0.7500 0.3527
Sc 0.9627 0.6121 0.8802
Sc 0.9627 0.8879 0.8802
Ga 0.1744 0.7500 0.6541
Ga 0.1813 0.0272 0.5952
Ga 0.1813 0.4728 0.5952
Ga 0.3187 0.5272 0.0952
Ga 0.3187 0.9728 0.0952
Ga 0.3256 0.2500 0.1541
Ga 0.6744 0.7500 0.8459
Ga 0.6813 0.0272 0.9048
Ga 0.6813 0.4728 0.9048
Ga 0.8187 0.5272 0.4048
Ga 0.8187 0.9728 0.4048
Ga 0.8256 0.2500 0.3459
Rh 0.1157 0.6185 0.3724
Rh 0.1157 0.8815 0.3724
Rh 0.3843 0.1185 0.8724
Rh 0.3843 0.3815 0.8724
Rh 0.6157 0.6185 0.1276
Rh 0.6157 0.8815 0.1276
Rh 0.8843 0.1185 0.6276
Rh 0.8843 0.3815 0.6276

3.
Structure and theoretical X-ray powder pattern of Sc3Ga2Rh2 (the PBE geometry in Alexandria; Cu Ka).
Kinematic intensities with the Lorentz-polarization factor, no thermal factor.

Principal peaks in the range 2θ from 10° to 90°, sorted by position:
2θ 16.19, I = 21; 2θ 21.10, I = 18; 2θ 21.59, I = 33; 2θ 34.20, I = 30; 2θ 36.49, I = 55; 2θ 37.28, I = 34; 2θ 40.88, I = 100; 2θ 41.12, I = 22; 2θ 41.64, I = 50; 2θ 44.92, I = 16

Crystal structure
Unit cell a=5.4754 b=7.0863 c=13.1705 alpha=90.00 beta=90.00 gamma=90.00
Atoms (fractional coordinates):
Sc 0.1153 0.2296 0.2500
Sc 0.1153 0.2704 0.7500
Sc 0.3483 0.5999 0.0970
Sc 0.3483 0.5999 0.4030
Sc 0.3483 0.9001 0.5970
Sc 0.3483 0.9001 0.9030
Sc 0.6517 0.0999 0.0970
Sc 0.6517 0.0999 0.4030
Sc 0.6517 0.4001 0.5970
Sc 0.6517 0.4001 0.9030
Sc 0.8847 0.7296 0.2500
Sc 0.8847 0.7704 0.7500
Ga 0.1976 0.2500 0.0000
Ga 0.1976 0.2500 0.5000
Ga 0.3968 0.6135 0.7500
Ga 0.3968 0.8865 0.2500
Ga 0.6032 0.1135 0.7500
Ga 0.6032 0.3865 0.2500
Ga 0.8024 0.7500 0.0000
Ga 0.8024 0.7500 0.5000
Rh 0.1278 0.5588 0.5948
Rh 0.1278 0.5588 0.9052
Rh 0.1278 0.9412 0.0948
Rh 0.1278 0.9412 0.4052
Rh 0.8722 0.0588 0.5948
Rh 0.8722 0.0588 0.9052
Rh 0.8722 0.4412 0.0948
Rh 0.8722 0.4412 0.4052

4.
Structure and theoretical X-ray powder pattern of Sc2Ga3Rh (the PBE geometry in Alexandria; Cu Ka).
Kinematic intensities with the Lorentz-polarization factor, no thermal factor.

Principal peaks in the range 2θ from 10° to 90°, sorted by position:
2θ 28.35, I = 30; 2θ 37.12, I = 100; 2θ 41.06, I = 34; 2θ 41.32, I = 66; 2θ 50.65, I = 12; 2θ 50.87, I = 24; 2θ 56.58, I = 19; 2θ 58.65, I = 11; 2θ 74.08, I = 11; 2θ 74.26, I = 22

Crystal structure
Unit cell a=8.7410 b=8.1845 c=5.4075 alpha=77.06 beta=65.86 gamma=37.08
Atoms (fractional coordinates):
Sc 0.2438 0.7562 0.7562
Sc 0.2500 0.2500 0.2500
Sc 0.7500 0.7500 0.7500
Sc 0.7562 0.2438 0.2438
Ga 0.1653 0.6670 0.3330
Ga 0.3312 0.3312 0.6688
Ga 0.3330 0.8347 0.1653
Ga 0.6670 0.1653 0.8347
Ga 0.6688 0.6688 0.3312
Ga 0.8347 0.3330 0.6670
Rh 0.1639 0.1639 0.8361
Rh 0.8361 0.8361 0.1639

5.
Structure and theoretical X-ray powder pattern of ZrScGaRh (the PBE geometry in Alexandria; Cu Ka).
Kinematic intensities with the Lorentz-polarization factor, no thermal factor.

Principal peaks in the range 2θ from 10° to 90°, sorted by position:
2θ 13.45, I = 11; 2θ 30.09, I = 7; 2θ 38.26, I = 51; 2θ 38.47, I = 100; 2θ 55.22, I = 17; 2θ 55.85, I = 8; 2θ 69.30, I = 33; 2θ 69.72, I = 16; 2θ 81.90, I = 5; 2θ 82.42, I = 10

Crystal structure
Unit cell a=3.3270 b=3.3270 c=6.5847 alpha=90.00 beta=90.00 gamma=90.00
Atoms (fractional coordinates):
Zr 0.0000 0.0000 0.0000
Sc 0.0000 0.0000 0.5219
Ga 0.5000 0.5000 0.2657
Rh 0.5000 0.5000 0.7526

6.
Structure and theoretical X-ray powder pattern of Ga3SiRh3 (the PBE geometry in Alexandria; Cu Ka).
Kinematic intensities with the Lorentz-polarization factor, no thermal factor.

Principal peaks in the range 2θ from 10° to 90°, sorted by position:
2θ 21.34, I = 42; 2θ 35.98, I = 11; 2θ 37.40, I = 10; 2θ 42.21, I = 100; 2θ 43.46, I = 92; 2θ 47.77, I = 10; 2θ 62.19, I = 31; 2θ 76.30, I = 17; 2θ 78.90, I = 30; 2θ 79.77, I = 15

Crystal structure
Unit cell a=5.1256 b=5.1256 c=5.1256 alpha=108.69 beta=108.69 gamma=108.69
Atoms (fractional coordinates):
Ga 0.9999 0.5001 0.5001
Ga 0.5001 0.9999 0.5001
Ga 0.5001 0.5001 0.9999
Si 0.0010 0.0010 0.0010
Rh 0.0000 0.0000 0.5000
Rh 0.0000 0.5000 0.0000
Rh 0.5000 0.0000 0.0000

7.
Structure and theoretical X-ray powder pattern of GaSiRh (the PBE geometry in Alexandria; Cu Ka).
Kinematic intensities with the Lorentz-polarization factor, no thermal factor.

Principal peaks in the range 2θ from 10° to 90°, sorted by position:
2θ 26.63, I = 82; 2θ 44.19, I = 100; 2θ 52.34, I = 37; 2θ 64.27, I = 16; 2θ 70.85, I = 15; 2θ 81.30, I = 32; 2θ 87.41, I = 11

Crystal structure
Unit cell a=4.0995 b=4.0995 c=4.0995 alpha=60.00 beta=60.00 gamma=60.00
Atoms (fractional coordinates):
Ga 0.0000 0.0000 0.0000
Si 0.5000 0.5000 0.5000
Rh 0.2500 0.2500 0.2500

8.
Structure and theoretical X-ray powder pattern of Sm2GaSiRh6 (the PBE geometry in Alexandria; Cu Ka).
Kinematic intensities with the Lorentz-polarization factor, no thermal factor.

Principal peaks in the range 2θ from 10° to 90°, sorted by position:
2θ 27.81, I = 14; 2θ 34.23, I = 100; 2θ 39.74, I = 77; 2θ 49.20, I = 6; 2θ 57.44, I = 43; 2θ 57.51, I = 9; 2θ 65.01, I = 3; 2θ 68.61, I = 38; 2θ 72.12, I = 17; 2θ 85.64, I = 8

Crystal structure
Unit cell a=6.4158 b=6.4158 c=6.4158 alpha=120.06 beta=119.94 gamma=90.00
Atoms (fractional coordinates):
Sm 0.2500 0.2500 0.0000
Sm 0.7500 0.7500 0.0000
Ga 0.5000 0.0000 0.5000
Si 0.0000 0.5000 0.5000
Rh 0.2439 0.2561 0.5000
Rh 0.2439 0.7439 0.5000
Rh 0.2439 0.7439 0.9878
Rh 0.7561 0.2561 0.0122
Rh 0.7561 0.2561 0.5000
Rh 0.7561 0.7439 0.5000

9.
Structure and theoretical X-ray powder pattern of Th2GaSi4Rh3 (the PBE geometry in Alexandria; Cu Ka).
Kinematic intensities with the Lorentz-polarization factor, no thermal factor.

Principal peaks in the range 2θ from 10° to 90°, sorted by position:
2θ 22.97, I = 39; 2θ 30.11, I = 37; 2θ 31.43, I = 19; 2θ 34.27, I = 91; 2θ 35.13, I = 100; 2θ 43.11, I = 55; 2θ 50.37, I = 30; 2θ 56.18, I = 45; 2θ 68.41, I = 24; 2θ 73.85, I = 23

Crystal structure
Unit cell a=4.1971 b=4.1971 c=10.0418 alpha=90.00 beta=90.00 gamma=90.00
Atoms (fractional coordinates):
Th 0.0000 0.5000 0.2433
Th 0.5000 0.0000 0.7567
Ga 0.0000 0.0000 0.5000
Si 0.0000 0.0000 0.0000
Si 0.0000 0.5000 0.6406
Si 0.5000 0.0000 0.3594
Si 0.5000 0.5000 0.0000
Rh 0.0000 0.5000 0.8786
Rh 0.5000 0.0000 0.1214
Rh 0.5000 0.5000 0.5000

10.
Structure and theoretical X-ray powder pattern of Sm3Ga2Rh2 (the PBE geometry in Alexandria; Cu Ka).
Kinematic intensities with the Lorentz-polarization factor, no thermal factor.

Principal peaks in the range 2θ from 10° to 90°, sorted by position:
2θ 29.61, I = 19; 2θ 32.48, I = 38; 2θ 33.76, I = 76; 2θ 34.38, I = 59; 2θ 37.31, I = 54; 2θ 39.23, I = 100; 2θ 42.35, I = 17; 2θ 48.28, I = 16; 2θ 55.25, I = 18; 2θ 57.94, I = 17

Crystal structure
Unit cell a=5.6213 b=8.0045 c=13.7762 alpha=90.00 beta=90.00 gamma=90.00
Atoms (fractional coordinates):
Sm 0.1306 0.2366 0.2500
Sm 0.1306 0.2634 0.7500
Sm 0.3506 0.5986 0.0986
Sm 0.3506 0.5986 0.4014
Sm 0.3506 0.9014 0.5986
Sm 0.3506 0.9014 0.9014
Sm 0.6494 0.0986 0.0986
Sm 0.6494 0.0986 0.4014
Sm 0.6494 0.4014 0.5986
Sm 0.6494 0.4014 0.9014
Sm 0.8694 0.7366 0.2500
Sm 0.8694 0.7634 0.7500
Ga 0.1352 0.2500 0.0000
Ga 0.1352 0.2500 0.5000
Ga 0.3692 0.6118 0.7500
Ga 0.3692 0.8882 0.2500
Ga 0.6308 0.1118 0.7500
Ga 0.6308 0.3882 0.2500
Ga 0.8648 0.7500 0.0000
Ga 0.8648 0.7500 0.5000
Rh 0.1447 0.5333 0.5916
Rh 0.1447 0.5333 0.9084
Rh 0.1447 0.9667 0.0916
Rh 0.1447 0.9667 0.4084
Rh 0.8553 0.0333 0.5916
Rh 0.8553 0.0333 0.9084
Rh 0.8553 0.4667 0.0916
Rh 0.8553 0.4667 0.4084

11.
Structure and theoretical X-ray powder pattern of Sm3Ga5Rh6 (the PBE geometry in Alexandria; Cu Ka).
Kinematic intensities with the Lorentz-polarization factor, no thermal factor.

Principal peaks in the range 2θ from 10° to 90°, sorted by position:
2θ 35.61, I = 100; 2θ 36.09, I = 17; 2θ 36.46, I = 35; 2θ 36.63, I = 30; 2θ 39.25, I = 37; 2θ 40.57, I = 15; 2θ 41.64, I = 24; 2θ 42.26, I = 61; 2θ 57.01, I = 19; 2θ 60.81, I = 15

Crystal structure
Unit cell a=4.2789 b=13.0144 c=8.9816 alpha=90.00 beta=90.00 gamma=90.00
Atoms (fractional coordinates):
Sm 0.2500 0.0531 0.2487
Sm 0.2500 0.4469 0.2487
Sm 0.2500 0.7500 0.2258
Sm 0.7500 0.2500 0.7742
Sm 0.7500 0.5531 0.7513
Sm 0.7500 0.9469 0.7513
Ga 0.2500 0.0977 0.8766
Ga 0.2500 0.4023 0.8766
Ga 0.2500 0.6328 0.5197
Ga 0.2500 0.7500 0.7969
Ga 0.2500 0.8672 0.5197
Ga 0.7500 0.1328 0.4803
Ga 0.7500 0.2500 0.2031
Ga 0.7500 0.3672 0.4803
Ga 0.7500 0.5977 0.1234
Ga 0.7500 0.9023 0.1234
Rh 0.2500 0.0604 0.5964
Rh 0.2500 0.2500 0.0508
Rh 0.2500 0.2500 0.4165
Rh 0.2500 0.4396 0.5964
Rh 0.2500 0.5873 0.9755
Rh 0.2500 0.9127 0.9755
Rh 0.7500 0.0873 0.0245
Rh 0.7500 0.4127 0.0245
Rh 0.7500 0.5604 0.4036
Rh 0.7500 0.7500 0.5835
Rh 0.7500 0.7500 0.9492
Rh 0.7500 0.9396 0.4036

12.
Structure and theoretical X-ray powder pattern of Sm6Ga3Rh (the PBE geometry in Alexandria; Cu Ka).
Kinematic intensities with the Lorentz-polarization factor, no thermal factor.

Principal peaks in the range 2θ from 10° to 90°, sorted by position:
2θ 25.25, I = 15; 2θ 30.61, I = 100; 2θ 34.91, I = 43; 2θ 35.12, I = 84; 2θ 36.94, I = 46; 2θ 47.14, I = 21; 2θ 47.35, I = 16; 2θ 51.76, I = 12; 2θ 59.88, I = 27; 2θ 62.74, I = 15

Crystal structure
Unit cell a=8.8342 b=11.6448 c=5.1405 alpha=90.00 beta=90.00 gamma=90.00
Atoms (fractional coordinates):
Sm 0.0033 0.2464 0.0000
Sm 0.1612 0.0860 0.5000
Sm 0.1770 0.4201 0.5000
Sm 0.3230 0.9201 0.0000
Sm 0.3388 0.5860 0.0000
Sm 0.4967 0.7464 0.5000
Sm 0.5033 0.2536 0.5000
Sm 0.6612 0.4140 0.0000
Sm 0.6770 0.0799 0.0000
Sm 0.8230 0.5799 0.5000
Sm 0.8388 0.9140 0.5000
Sm 0.9967 0.7536 0.0000
Ga 0.0000 0.5000 0.0000
Ga 0.1618 0.7341 0.5000
Ga 0.3382 0.2341 0.0000
Ga 0.5000 0.0000 0.5000
Ga 0.6618 0.7659 0.0000
Ga 0.8382 0.2659 0.5000
Rh 0.0000 0.0000 0.0000
Rh 0.5000 0.5000 0.5000